No. 1
Structure and calculated powder diffractogram of Tb8Pr4Sm3 (a GGA-PBE-relaxed structure; Cu Kα, 1.54184 Å).

Lattice parameters (Å, degrees): 7.0315 7.0315 35.9293 90.00 90.00 120.00
Space group R-3m (No. 166, hexagonal axes)
Inequivalent atoms, fractional coordinates:
Tb1 0.0000 0.0000 0.2455
Tb2 0.0015 0.5008 0.7508
Pr1 0.0000 0.0000 0.0000
Pr2 0.0000 0.0000 0.3365
Pr3 0.0000 0.0000 0.5000
Sm1 0.0000 0.5000 0.5000

Main lines, low angle first (5° ≤ 2θ ≤ 70°):
| 2theta | I_rel |
| --- | --- |
| 29.5 | 23.7 |
| 29.8 | 70.1 |
| 31.0 | 100.0 |
| 35.6 | 73.3 |
| 50.5 | 27.2 |
| 52.0 | 36.4 |
| 59.8 | 17.7 |
| 61.1 | 45.6 |

***

No. 2
Structure and calculated powder diffractogram of CuAgSn2Te4 (a GGA-PBE-relaxed structure; Cu Kα, 1.54184 Å).

Lattice parameters (Å, degrees): 9.032 10.428 11.501 90.00 90.00 90.00
Space group Fmm2 (No. 42)
Inequivalent atoms, fractional coordinates:
Cu1 0.000 0.000 0.000
Ag1 0.000 0.000 0.508
Sn1 0.250 0.250 0.243
Te1 0.000 0.234 0.906
Te2 0.234 0.000 0.131

Main lines, low angle first (5° ≤ 2θ ≤ 70°):
| 2theta | I_rel |
| --- | --- |
| 23.0 | 74.8 |
| 25.1 | 100.0 |
| 34.4 | 34.6 |
| 39.9 | 23.3 |
| 41.0 | 76.1 |
| 43.0 | 44.8 |
| 46.6 | 21.4 |
| 53.7 | 18.3 |

***

No. 3
Structure and calculated powder diffractogram of CsV4Cl7 (a GGA-PBE-relaxed structure; Cu Kα, 1.54184 Å).

Lattice parameters (Å, degrees): 16.136 6.129 6.429 90.00 90.00 90.00
Space group Pmn2_1 (No. 31)
Inequivalent atoms, fractional coordinates:
Cs1 0.000 0.174 0.000
V1 0.140 0.704 0.402
V2 0.249 0.249 0.509
Cl1 0.000 0.855 0.499
Cl2 0.107 0.673 0.038
Cl3 0.108 0.350 0.532
Cl4 0.246 0.863 0.634

Main lines, low angle first (5° ≤ 2θ ≤ 70°):
| 2theta | I_rel |
| --- | --- |
| 21.5 | 64.2 |
| 22.0 | 69.1 |
| 22.9 | 100.0 |
| 26.5 | 63.1 |
| 27.8 | 97.9 |
| 29.1 | 55.8 |
| 32.4 | 59.4 |
| 39.2 | 86.0 |

***

No. 4
Structure and calculated powder diffractogram of Cs4AcPu3O12 (a GGA-PBE-relaxed structure; Cu Kα, 1.54184 Å).

Lattice parameters (Å, degrees): 8.946 8.946 8.946 90.00 90.00 90.00
Space group Im-3m (No. 229)
Inequivalent atoms, fractional coordinates:
Cs1 0.250 0.250 0.250
Ac1 0.000 0.000 0.000
Pu1 0.000 0.000 0.500
O1 0.000 0.000 0.278
O2 0.000 0.250 0.500

Main lines, low angle first (5° ≤ 2θ ≤ 70°):
| 2theta | I_rel |
| --- | --- |
| 19.8 | 13.4 |
| 28.2 | 100.0 |
| 40.3 | 27.0 |
| 45.3 | 6.5 |
| 49.9 | 42.4 |
| 58.4 | 17.8 |
| 62.3 | 3.2 |
| 66.1 | 19.4 |

***

No. 5
Structure and calculated powder diffractogram of Rb3Hg9Pd2 (a GGA-PBE-relaxed structure; Cu Kα, 1.54184 Å).

Lattice parameters (Å, degrees): 12.5250 12.5250 18.7982 90.00 90.00 120.00
Space group R-3c (No. 167, hexagonal axes)
Inequivalent atoms, fractional coordinates:
Rb1 0.0000 0.3205 0.2500
Hg1 0.0000 0.1988 0.7500
Hg2 0.0048 0.1685 0.0751
Pd1 0.0000 0.0000 0.1763

Main lines, low angle first (5° ≤ 2θ ≤ 70°):
| 2theta | I_rel |
| --- | --- |
| 20.0 | 14.8 |
| 28.5 | 39.5 |
| 32.0 | 100.0 |
| 40.7 | 25.5 |
| 50.5 | 19.6 |
| 52.7 | 25.2 |
| 59.0 | 19.7 |
| 61.0 | 13.5 |

***

No. 6
Structure and calculated powder diffractogram of RbTl3H2F6 (a GGA-PBE-relaxed structure; Cu Kα, 1.54184 Å).

Lattice parameters (Å, degrees): 5.7797 5.7797 7.8761 90.00 90.00 120.00
Space group P-3m1 (No. 164)
Inequivalent atoms, fractional coordinates:
Rb1 0.0000 0.0000 0.0000
Tl1 0.0000 0.0000 0.5000
Tl2 0.3333 0.6667 0.2930
H1 0.3333 0.6667 0.7438
F1 0.1956 0.3912 0.7430

Main lines, low angle first (5° ≤ 2θ ≤ 70°):
| 2theta | I_rel |
| --- | --- |
| 11.2 | 29.1 |
| 21.0 | 69.8 |
| 28.8 | 100.0 |
| 30.9 | 74.2 |
| 37.7 | 36.0 |
| 42.8 | 41.6 |
| 49.6 | 21.0 |
| 53.8 | 28.8 |